No. 1
# LaPrRuI
Calculated powder XRD pattern, Cu Kα X-rays. Input: a structure optimized by DFT (GGA-PBE).
Kinematic intensities with the Lorentz-polarization factor, no thermal factor.

Main lines, in order of rising 2θ (2θ from 10° to 90°):
2θ/deg  intensity
25.61  17
28.54  34
30.57  100
43.24  48
44.32  18
53.88  20

Structural model:
Lattice parameters (Å, degrees): 4.185 4.185 24.746 90.00 90.00 120.00
Sites, in units of the cell vectors:
1 La 0.000 0.000 0.000
2 La 0.333 0.667 0.667
3 La 0.667 0.333 0.333
4 Pr 0.000 0.000 0.210
5 Pr 0.333 0.667 0.877
6 Pr 0.667 0.333 0.543
7 Ru 0.000 0.000 0.609
8 Ru 0.333 0.667 0.276
9 Ru 0.667 0.333 0.943
10 I 0.000 0.000 0.440
11 I 0.333 0.667 0.107
12 I 0.667 0.333 0.773

No. 2
# Pd2Pt3O8
Calculated powder XRD pattern, Cu Kα X-rays. Input: a structure optimized by DFT (GGA-PBE).
Kinematic intensities with the Lorentz-polarization factor, no thermal factor.

Main lines, in order of rising 2θ (2θ from 10° to 90°):
2θ/deg  intensity
18.11  77
33.16  100
33.58  53
36.56  43
47.92  39
52.59  36

Structural model:
Lattice parameters (Å, degrees): 5.876 5.876 5.419 98.38 98.38 64.42
Sites, in units of the cell vectors:
1 Pd 0.209 0.209 0.057
2 Pd 0.791 0.791 0.943
3 Pt 0.247 0.753 0.500
4 Pt 0.500 0.500 0.000
5 Pt 0.753 0.247 0.500
6 O 0.108 0.108 0.397
7 O 0.154 0.611 0.147
8 O 0.389 0.846 0.853
9 O 0.400 0.400 0.636
10 O 0.600 0.600 0.364
11 O 0.611 0.154 0.147
12 O 0.846 0.389 0.853
13 O 0.892 0.892 0.603

No. 3
# GdPH
Calculated powder XRD pattern, Cu Kα X-rays. Input: a structure optimized by DFT (GGA-PBE).
Kinematic intensities with the Lorentz-polarization factor, no thermal factor.

Main lines, in order of rising 2θ (2θ from 10° to 90°):
2θ/deg  intensity
24.29  28
28.75  100
30.85  34
34.94  19
44.78  29
45.61  24

Structural model:
Lattice parameters (Å, degrees): 14.655 3.898 7.200 90.00 90.00 90.00
Sites, in units of the cell vectors:
1 Gd 0.114 0.214 0.076
2 Gd 0.114 0.786 0.576
3 Gd 0.386 0.214 0.576
4 Gd 0.386 0.786 0.076
5 Gd 0.614 0.214 0.924
6 Gd 0.614 0.786 0.424
7 Gd 0.886 0.214 0.424
8 Gd 0.886 0.786 0.924
9 P 0.000 0.258 0.750
10 P 0.000 0.742 0.250
11 P 0.250 0.500 0.353
12 P 0.250 0.500 0.853
13 P 0.500 0.258 0.250
14 P 0.500 0.742 0.750
15 P 0.750 0.500 0.147
16 P 0.750 0.500 0.647
17 H 0.000 0.327 0.250
18 H 0.000 0.673 0.750
19 H 0.250 0.500 0.140
20 H 0.250 0.500 0.640
21 H 0.500 0.327 0.750
22 H 0.500 0.673 0.250
23 H 0.750 0.500 0.360
24 H 0.750 0.500 0.860

No. 4
# Si4P4Ru
Calculated powder XRD pattern, Cu Kα X-rays. Input: a structure optimized by DFT (GGA-PBE).
Kinematic intensities with the Lorentz-polarization factor, no thermal factor.

Main lines, in order of rising 2θ (2θ from 10° to 90°):
2θ/deg  intensity
15.39  22
16.60  26
30.33  100
30.39  50
49.62  31
49.79  39

Structural model:
Lattice parameters (Å, degrees): 4.968 5.662 6.206 85.62 68.29 70.78
Sites, in units of the cell vectors:
1 Si 0.000 0.000 0.000
2 Si 0.121 0.251 0.449
3 Si 0.433 0.432 0.794
4 Si 0.607 0.629 0.257
5 P 0.104 0.883 0.326
6 P 0.384 0.067 0.690
7 P 0.529 0.298 0.131
8 P 0.922 0.671 0.886
9 Ru 0.762 0.656 0.567